Entry 1:
Structure and simulated PXRD pattern of Ho4Er8Pu (a PBE-relaxed structure; Cu Kα X-rays).

Principal peaks in the range 10° ≤ 2θ ≤ 90°, in order of rising 2θ:
| 2θ/deg | d [Å] | Rel. int. |
| --- | --- | --- |
| 20.1 | 4.416 | 84 |
| 33.1 | 2.704 | 1000 |
| 47.5 | 1.912 | 183 |
| 59.1 | 1.562 | 286 |
| 59.2 | 1.560 | 95 |
| 79.2 | 1.209 | 163 |

Cell and atoms:
Cell: 7.649 7.649 7.649 Å, 90.08 90.08 90.08°
Sites, in units of the cell vectors:
Ho1 0.000 0.000 0.000
Ho2 0.000 0.500 0.500
Ho3 0.500 0.000 0.500
Ho4 0.500 0.500 0.000
Er1 0.245 0.245 0.245
Er2 0.245 0.245 0.755
Er3 0.245 0.755 0.245
Er4 0.245 0.755 0.755
Er5 0.755 0.245 0.245
Er6 0.755 0.245 0.755
Er7 0.755 0.755 0.245
Er8 0.755 0.755 0.755
Pu1 0.500 0.500 0.500

Entry 2:
Structure and simulated PXRD pattern of Ce5Pu2Ru5 (a PBE-relaxed structure; Cu Kα X-rays).

Principal peaks in the range 10° ≤ 2θ ≤ 90°, in order of rising 2θ:
| 2θ/deg | d [Å] | Rel. int. |
| --- | --- | --- |
| 32.7 | 2.742 | 1000 |
| 32.8 | 2.730 | 688 |
| 34.6 | 2.590 | 763 |
| 35.3 | 2.545 | 663 |
| 38.2 | 2.354 | 605 |
| 40.0 | 2.257 | 809 |

Cell and atoms:
Cell: 5.650 5.650 11.976 Å, 111.58 111.58 47.08°
Sites, in units of the cell vectors:
Ce1 0.000 0.000 0.000
Ce2 0.340 0.340 0.498
Ce3 0.390 0.390 0.215
Ce4 0.610 0.610 0.785
Ce5 0.660 0.660 0.502
Pu1 0.270 0.270 0.747
Pu2 0.730 0.730 0.253
Ru1 0.000 0.000 0.500
Ru2 0.091 0.091 0.288
Ru3 0.292 0.292 0.965
Ru4 0.708 0.708 0.035
Ru5 0.909 0.909 0.712

Entry 3:
Structure and simulated PXRD pattern of Li3Cd3Rh2 (a PBE-relaxed structure; Cu Kα X-rays).

Principal peaks in the range 10° ≤ 2θ ≤ 90°, in order of rising 2θ:
| 2θ/deg | d [Å] | Rel. int. |
| --- | --- | --- |
| 19.8 | 4.481 | 451 |
| 34.1 | 2.631 | 246 |
| 39.7 | 2.269 | 1000 |
| 40.0 | 2.254 | 246 |
| 40.3 | 2.240 | 242 |
| 72.5 | 1.304 | 160 |

Cell and atoms:
Cell: 4.481 4.507 6.483 Å, 90.00 90.00 90.00°
Sites, in units of the cell vectors:
Li1 0.000 0.000 0.000
Li2 0.000 0.500 0.244
Li3 0.000 0.500 0.756
Cd1 0.000 0.000 0.500
Cd2 0.500 0.500 0.000
Cd3 0.500 0.500 0.500
Rh1 0.500 0.000 0.241
Rh2 0.500 0.000 0.759

Entry 4:
Structure and simulated PXRD pattern of PrPd4 (a PBE-relaxed structure; Cu Kα X-rays).

Principal peaks in the range 10° ≤ 2θ ≤ 90°, in order of rising 2θ:
| 2θ/deg | d [Å] | Rel. int. |
| --- | --- | --- |
| 37.1 | 2.425 | 934 |
| 38.0 | 2.371 | 1000 |
| 39.9 | 2.259 | 406 |
| 40.5 | 2.226 | 436 |
| 58.2 | 1.585 | 265 |
| 75.9 | 1.254 | 231 |

Cell and atoms:
Cell: 7.919 7.919 7.919 Å, 147.35 136.17 55.71°
Sites, in units of the cell vectors:
Pr1 0.358 0.108 0.250
Pr2 0.642 0.892 0.750
Pd1 0.000 0.500 0.500
Pd2 0.138 0.888 0.250
Pd3 0.176 0.696 0.480
Pd4 0.284 0.304 0.980
Pd5 0.500 0.500 0.000
Pd6 0.716 0.696 0.020
Pd7 0.824 0.304 0.520
Pd8 0.862 0.112 0.750

Entry 5:
Structure and simulated PXRD pattern of PmNd5Y3 (a PBE-relaxed structure; Cu Kα X-rays).

Principal peaks in the range 10° ≤ 2θ ≤ 90°, in order of rising 2θ:
| 2θ/deg | d [Å] | Rel. int. |
| --- | --- | --- |
| 27.5 | 3.244 | 375 |
| 29.4 | 3.037 | 241 |
| 31.2 | 2.870 | 1000 |
| 31.3 | 2.855 | 438 |
| 31.8 | 2.815 | 314 |
| 33.6 | 2.671 | 243 |

Cell and atoms:
Cell: 9.944 9.944 11.509 Å, 112.28 112.28 38.11°
Sites, in units of the cell vectors:
Pm1 0.131 0.869 0.750
Pm2 0.869 0.131 0.250
Nd1 0.011 0.651 0.135
Nd2 0.125 0.537 0.791
Nd3 0.349 0.989 0.365
Nd4 0.402 0.598 0.250
Nd5 0.463 0.875 0.709
Nd6 0.537 0.125 0.291
Nd7 0.598 0.402 0.750
Nd8 0.651 0.011 0.635
Nd9 0.875 0.463 0.209
Nd10 0.989 0.349 0.865
Y1 0.000 0.000 0.000
Y2 0.000 0.000 0.500
Y3 0.139 0.541 0.486
Y4 0.459 0.861 0.014
Y5 0.541 0.139 0.986
Y6 0.861 0.459 0.514

Entry 6:
Structure and simulated PXRD pattern of CuTePd6 (a PBE-relaxed structure; Cu Kα X-rays).

Principal peaks in the range 10° ≤ 2θ ≤ 90°, in order of rising 2θ:
| 2θ/deg | d [Å] | Rel. int. |
| --- | --- | --- |
| 39.1 | 2.303 | 1000 |
| 39.2 | 2.298 | 993 |
| 43.6 | 2.077 | 375 |
| 45.5 | 1.993 | 306 |
| 47.4 | 1.917 | 286 |
| 79.8 | 1.201 | 155 |

Cell and atoms:
Cell: 4.154 4.789 7.394 Å, 78.55 73.72 64.52°
Sites, in units of the cell vectors:
Cu1 0.000 0.000 0.000
Te1 0.000 0.500 0.500
Pd1 0.240 0.396 0.125
Pd2 0.250 0.869 0.630
Pd3 0.497 0.775 0.231
Pd4 0.503 0.225 0.769
Pd5 0.750 0.131 0.370
Pd6 0.760 0.604 0.875

Entry 7:
Structure and simulated PXRD pattern of Tb6Y19Er4 (a PBE-relaxed structure; Cu Kα X-rays).

Principal peaks in the range 10° ≤ 2θ ≤ 90°, in order of rising 2θ:
| 2θ/deg | d [Å] | Rel. int. |
| --- | --- | --- |
| 26.8 | 3.328 | 506 |
| 28.7 | 3.113 | 377 |
| 30.5 | 2.935 | 1000 |
| 35.3 | 2.542 | 375 |
| 36.8 | 2.442 | 758 |
| 61.4 | 1.510 | 255 |

Cell and atoms:
Cell: 10.785 10.785 10.785 Å, 109.47 109.47 109.47°
Sites, in units of the cell vectors:
Tb1 0.124 0.500 0.624
Tb2 0.376 0.876 0.500
Tb3 0.500 0.376 0.876
Tb4 0.500 0.624 0.124
Tb5 0.624 0.124 0.500
Tb6 0.876 0.500 0.376
Y1 0.000 0.000 0.000
Y2 0.000 0.259 0.259
Y3 0.000 0.741 0.741
Y4 0.017 0.218 0.674
Y5 0.201 0.983 0.658
Y6 0.218 0.674 0.017
Y7 0.259 0.000 0.259
Y8 0.259 0.259 0.000
Y9 0.326 0.543 0.342
Y10 0.342 0.326 0.543
Y11 0.457 0.782 0.799
Y12 0.543 0.342 0.326
Y13 0.658 0.201 0.983
Y14 0.674 0.017 0.218
Y15 0.741 0.000 0.741
Y16 0.741 0.741 0.000
Y17 0.782 0.799 0.457
Y18 0.799 0.457 0.782
Y19 0.983 0.658 0.201
Er1 0.000 0.000 0.358
Er2 0.000 0.358 0.000
Er3 0.358 0.000 0.000
Er4 0.642 0.642 0.642

Entry 8:
Structure and simulated PXRD pattern of PrP2Pd6 (a PBE-relaxed structure; Cu Kα X-rays).

Principal peaks in the range 10° ≤ 2θ ≤ 90°, in order of rising 2θ:
| 2θ/deg | d [Å] | Rel. int. |
| --- | --- | --- |
| 23.1 | 3.856 | 241 |
| 34.6 | 2.593 | 398 |
| 36.0 | 2.497 | 1000 |
| 43.3 | 2.090 | 347 |
| 47.1 | 1.928 | 427 |
| 64.7 | 1.442 | 219 |

Cell and atoms:
Cell: 5.767 5.767 6.069 Å, 90.00 90.00 120.00°
Sites, in units of the cell vectors:
Pr1 0.000 0.000 0.000
P1 0.333 0.667 0.500
P2 0.667 0.333 0.500
Pd1 0.000 0.500 0.231
Pd2 0.000 0.500 0.769
Pd3 0.500 0.000 0.231
Pd4 0.500 0.000 0.769
Pd5 0.500 0.500 0.231
Pd6 0.500 0.500 0.769